1.
The following is a theoretical powder X-ray diffraction pattern of Zn2InGaO5. It was derived from a crystal structure in OQMD, relaxed with PBE, using Cu Kα (λ = 1.5418 Å).
Lines closer than 0.1° are merged.

Atomic structure:
Lattice parameters (Å, degrees): 3.307 3.307 22.539 90.00 90.00 120.00
Atoms (fractional coordinates):
Zn1 0.333 0.667 0.135
Zn2 0.333 0.667 0.365
Zn3 0.667 0.333 0.635
Zn4 0.667 0.333 0.865
In1 0.000 0.000 0.000
In2 0.000 0.000 0.500
Ga1 0.000 0.000 0.250
Ga2 0.000 0.000 0.750
O1 0.000 0.000 0.162
O2 0.000 0.000 0.338
O3 0.000 0.000 0.662
O4 0.000 0.000 0.838
O5 0.333 0.667 0.048
O6 0.333 0.667 0.250
O7 0.333 0.667 0.452
O8 0.667 0.333 0.548
O9 0.667 0.333 0.750
O10 0.667 0.333 0.952

Largest 6 diffraction maxima, by angle, 10 to 80 degrees two-theta:
31.5°, d 2.841, I = 36.2; 31.8°, d 2.817, I = 37.8; 35.2°, d 2.553, I = 100.0; 55.6°, d 1.653, I = 41.1; 58.8°, d 1.571, I = 31.4; 65.4°, d 1.426, I = 27.1


2.
The following is a theoretical powder X-ray diffraction pattern of Zn3InGaO6. It was derived from a crystal structure in OQMD, relaxed with PBE, using Cu Kα (λ = 1.5418 Å).
Lines closer than 0.1° are merged.

Atomic structure:
Lattice parameters (Å, degrees): 14.039 14.039 11.441 93.99 93.99 13.48
Atoms (fractional coordinates):
Zn1 0.000 0.000 0.000
Zn2 0.000 0.000 0.495
Zn3 0.091 0.091 0.343
Zn4 0.187 0.187 0.028
Zn5 0.189 0.189 0.529
Zn6 0.279 0.279 0.375
Zn7 0.282 0.282 0.880
Zn8 0.499 0.499 0.245
Zn9 0.499 0.499 0.745
Zn10 0.594 0.594 0.098
Zn11 0.779 0.779 0.127
Zn12 0.782 0.782 0.624
In1 0.389 0.389 0.062
In2 0.390 0.390 0.561
In3 0.890 0.890 0.311
In4 0.891 0.891 0.812
Ga1 0.092 0.092 0.848
Ga2 0.595 0.595 0.596
Ga3 0.684 0.684 0.277
Ga4 0.689 0.689 0.775
O1 0.019 0.019 0.333
O2 0.023 0.023 0.833
O3 0.102 0.102 0.521
O4 0.105 0.105 0.005
O5 0.174 0.174 0.845
O6 0.181 0.181 0.358
O7 0.260 0.260 0.037
O8 0.260 0.260 0.543
O9 0.350 0.350 0.389
O10 0.351 0.351 0.886
O11 0.428 0.428 0.235
O12 0.430 0.430 0.734
O13 0.521 0.521 0.083
O14 0.524 0.524 0.585
O15 0.601 0.601 0.766
O16 0.610 0.610 0.269
O17 0.671 0.671 0.616
O18 0.678 0.678 0.114
O19 0.756 0.756 0.289
O20 0.757 0.757 0.789
O21 0.850 0.850 0.138
O22 0.852 0.852 0.640
O23 0.929 0.929 0.984
O24 0.930 0.930 0.486

Largest 6 diffraction maxima, by angle, 10 to 80 degrees two-theta:
31.4°, d 2.850, I = 83.6; 32.2°, d 2.781, I = 60.8; 34.8°, d 2.576, I = 100.0; 35.8°, d 2.506, I = 92.7; 47.2°, d 1.926, I = 42.0; 55.7°, d 1.650, I = 45.7


3.
The following is a theoretical powder X-ray diffraction pattern of Zn2InGaO5. It was derived from a crystal structure in OQMD, relaxed with PBE, using Cu Kα (λ = 1.5418 Å).
Lines closer than 0.1° are merged.

Atomic structure:
Lattice parameters (Å, degrees): 8.823 8.823 23.137 104.26 104.26 21.64
Atoms (fractional coordinates):
Zn1 0.000 0.000 0.000
Zn2 0.241 0.241 0.391
Zn3 0.316 0.316 0.616
Zn4 0.333 0.333 0.000
Zn5 0.502 0.502 0.501
Zn6 0.512 0.512 0.883
Zn7 0.575 0.575 0.385
Zn8 0.589 0.589 0.112
Zn9 0.653 0.653 0.617
Zn10 0.835 0.835 0.502
Zn11 0.853 0.853 0.892
Zn12 0.926 0.926 0.111
In1 0.083 0.083 0.249
In2 0.252 0.252 0.755
In3 0.418 0.418 0.247
In4 0.579 0.579 0.744
In5 0.748 0.748 0.253
In6 0.915 0.915 0.750
Ga1 0.167 0.167 0.500
Ga2 0.182 0.182 0.882
Ga3 0.263 0.263 0.117
Ga4 0.665 0.665 0.000
Ga5 0.904 0.904 0.382
Ga6 0.980 0.980 0.609
O1 0.008 0.008 0.697
O2 0.030 0.030 0.096
O3 0.134 0.134 0.409
O4 0.149 0.149 0.799
O5 0.197 0.197 0.590
O6 0.211 0.211 0.300
O7 0.216 0.216 0.002
O8 0.272 0.272 0.494
O9 0.288 0.288 0.202
O10 0.291 0.291 0.902
O11 0.343 0.343 0.704
O12 0.359 0.359 0.097
O13 0.461 0.461 0.402
O14 0.490 0.490 0.794
O15 0.533 0.533 0.604
O16 0.543 0.543 0.297
O17 0.564 0.564 0.006
O18 0.614 0.614 0.499
O19 0.625 0.625 0.203
O20 0.641 0.641 0.906
O21 0.680 0.680 0.706
O22 0.707 0.707 0.097
O23 0.810 0.810 0.404
O24 0.823 0.823 0.801
O25 0.868 0.868 0.598
O26 0.877 0.877 0.298
O27 0.886 0.886 0.995
O28 0.952 0.952 0.514
O29 0.955 0.955 0.202
O30 0.971 0.971 0.905

Largest 6 diffraction maxima, by angle, 10 to 80 degrees two-theta:
31.2°, d 2.871, I = 31.7; 31.4°, d 2.850, I = 39.0; 32.0°, d 2.800, I = 62.4; 34.9°, d 2.567, I = 48.9; 35.1°, d 2.557, I = 100.0; 55.2°, d 1.665, I = 43.7


4.
The following is a theoretical powder X-ray diffraction pattern of Y2InGaPt4. It was derived from a crystal structure in OQMD, relaxed with PBE, using Cu Kα (λ = 1.5418 Å).
Lines closer than 0.1° are merged.

Atomic structure:
Lattice parameters (Å, degrees): 4.492 4.492 9.118 90.00 90.00 120.00
Atoms (fractional coordinates):
Y1 0.333 0.667 0.245
Y2 0.667 0.333 0.755
In1 0.000 0.000 0.500
Ga1 0.000 0.000 0.000
Pt1 0.333 0.667 0.595
Pt2 0.333 0.667 0.918
Pt3 0.667 0.333 0.082
Pt4 0.667 0.333 0.405

Largest 6 diffraction maxima, by angle, 10 to 80 degrees two-theta:
22.9°, d 3.890, I = 21.4; 24.9°, d 3.578, I = 16.9; 37.6°, d 2.395, I = 100.0; 40.2°, d 2.246, I = 80.8; 56.1°, d 1.638, I = 31.5; 71.3°, d 1.324, I = 30.9